# 1
Starting from DFT lattice parameters and positions (GGA-PBE), the X-ray powder pattern of Ho5BiTe5 was simulated for Cu Kα X-rays.
Kinematic intensities with the Lorentz-polarization factor, no thermal factor.

Largest 12 diffraction maxima, low angle first, 2θ from 15° to 90°:
| d_spacing | Position (°2θ) | Rel. int. |
| --- | --- | --- |
| 5.579 | 15.89 | 9 |
| 3.089 | 28.91 | 51 |
| 3.063 | 29.15 | 100 |
| 2.175 | 41.52 | 77 |
| 2.166 | 41.70 | 38 |
| 1.773 | 51.53 | 41 |
| 1.379 | 67.98 | 18 |
| 1.374 | 68.29 | 9 |
| 1.371 | 68.44 | 17 |
| 1.257 | 75.62 | 13 |
| 1.253 | 75.94 | 13 |
| 1.251 | 76.05 | 13 |

Structural model:
```
11
Lattice="6.842 -3.089 0.000 6.842 3.089 0.000 -2.725 0.000 8.228" Properties=species:S:1:pos:R:3 pbc="T T T"
Ho 0.000 0.000 0.000
Ho 4.095 0.000 1.409
Ho 2.771 0.000 5.459
Ho 8.188 0.000 2.769
Ho 6.864 0.000 6.820
Bi 6.842 0.000 0.000
Te 1.299 0.000 2.776
Te 0.011 0.000 6.825
Te 5.480 0.000 4.114
Te 10.948 0.000 1.404
Te 9.660 0.000 5.453
```

***

# 2
Starting from DFT lattice parameters and positions (GGA-PBE), the X-ray powder pattern of Ho3Bi2Te was simulated for Cu Kα X-rays.
Kinematic intensities with the Lorentz-polarization factor, no thermal factor.

Largest 12 diffraction maxima, low angle first, 2θ from 15° to 90°:
| d_spacing | Position (°2θ) | Rel. int. |
| --- | --- | --- |
| 3.121 | 28.61 | 9 |
| 2.802 | 31.94 | 100 |
| 2.629 | 34.10 | 15 |
| 2.549 | 35.21 | 19 |
| 2.478 | 36.25 | 8 |
| 2.178 | 41.46 | 16 |
| 1.677 | 54.73 | 8 |
| 1.656 | 55.50 | 12 |
| 1.594 | 57.86 | 7 |
| 1.549 | 59.69 | 7 |
| 1.516 | 61.14 | 8 |
| 1.350 | 69.67 | 11 |

Structural model:
```
12
Lattice="2.178 -7.887 0.000 2.178 7.887 0.000 0.000 0.000 10.194" Properties=species:S:1:pos:R:3 pbc="T T T"
Ho 2.178 5.651 7.646
Ho 2.178 2.556 5.492
Ho 2.178 2.556 9.799
Ho 2.178 -2.556 0.395
Ho 2.178 -2.556 4.702
Ho 2.178 -5.651 2.549
Bi 0.000 0.000 0.000
Bi 0.000 0.000 5.097
Bi 2.178 0.034 7.646
Bi 2.178 -0.034 2.549
Te 2.178 4.360 2.549
Te 2.178 -4.360 7.646
```

***

# 3
Starting from DFT lattice parameters and positions (GGA-PBE), the X-ray powder pattern of Ho4BiTe2 was simulated for Cu Kα X-rays.
Kinematic intensities with the Lorentz-polarization factor, no thermal factor.

Largest 12 diffraction maxima, low angle first, 2θ from 15° to 90°:
| d_spacing | Position (°2θ) | Rel. int. |
| --- | --- | --- |
| 4.792 | 18.51 | 17 |
| 3.900 | 22.80 | 17 |
| 3.389 | 26.30 | 24 |
| 3.026 | 29.52 | 58 |
| 2.976 | 30.03 | 100 |
| 2.558 | 35.08 | 87 |
| 2.547 | 35.24 | 99 |
| 2.257 | 39.95 | 30 |
| 2.036 | 44.50 | 16 |
| 1.856 | 49.08 | 17 |
| 1.583 | 58.29 | 19 |
| 1.554 | 59.48 | 15 |

Structural model:
```
14
Lattice="-4.792 4.792 4.696 4.792 -4.792 4.696 4.792 4.792 -4.696" Properties=species:S:1:pos:R:3 pbc="T T T"
Ho 6.600 -0.542 0.600
Ho 2.985 0.542 0.600
Ho 4.251 2.985 -1.748
Ho 5.334 -1.807 4.097
Ho 0.542 1.807 2.948
Ho 4.251 1.807 4.097
Ho 2.985 4.251 1.748
Ho 1.807 0.542 6.445
Bi 0.000 0.000 0.000
Bi 0.000 4.792 2.348
Te 2.396 -0.506 3.522
Te 5.299 2.396 1.174
Te 2.396 5.299 -1.174
Te -0.506 2.396 5.870
```

***

# 4
Starting from DFT lattice parameters and positions (GGA-PBE), the X-ray powder pattern of Ho5Bi4Te was simulated for Cu Kα X-rays.
Kinematic intensities with the Lorentz-polarization factor, no thermal factor.

Largest 10 diffraction maxima, low angle first, 2θ from 15° to 90°:
| d_spacing | Position (°2θ) | Rel. int. |
| --- | --- | --- |
| 5.304 | 16.72 | 1 |
| 3.622 | 24.58 | 1 |
| 3.137 | 28.45 | 100 |
| 2.218 | 40.68 | 78 |
| 1.892 | 48.10 | 1 |
| 1.811 | 50.39 | 28 |
| 1.568 | 58.88 | 13 |
| 1.403 | 66.67 | 37 |
| 1.281 | 74.02 | 27 |
| 1.109 | 88.07 | 9 |

Structural model:
```
10
Lattice="-4.959 4.959 3.138 4.959 -4.959 3.138 4.959 4.959 -3.138" Properties=species:S:1:pos:R:3 pbc="T T T"
Ho 0.000 0.000 0.000
Ho 5.957 1.968 0.000
Ho 1.968 3.960 0.000
Ho 2.991 0.999 3.138
Ho -0.999 2.991 3.138
Bi 2.966 0.995 0.000
Bi 3.964 -1.993 3.138
Bi 0.995 6.951 0.000
Bi 1.993 3.964 3.138
Te 0.000 0.000 3.138
```

***

# 5
Starting from DFT lattice parameters and positions (GGA-PBE), the X-ray powder pattern of Ho3Tm2ThBi6 was simulated for Cu Kα X-rays.
Kinematic intensities with the Lorentz-polarization factor, no thermal factor.

Largest 12 diffraction maxima, low angle first, 2θ from 15° to 90°:
| d_spacing | Position (°2θ) | Rel. int. |
| --- | --- | --- |
| 3.656 | 24.35 | 1 |
| 3.166 | 28.19 | 100 |
| 2.239 | 40.29 | 78 |
| 1.828 | 49.89 | 28 |
| 1.584 | 58.25 | 9 |
| 1.581 | 58.37 | 4 |
| 1.416 | 65.95 | 25 |
| 1.415 | 66.04 | 12 |
| 1.293 | 73.22 | 23 |
| 1.291 | 73.30 | 5 |
| 1.121 | 86.92 | 2 |
| 1.119 | 87.09 | 8 |

Structural model:
```
12
Lattice="9.747 -2.242 0.000 9.747 2.242 0.000 -2.055 0.000 8.715" Properties=species:S:1:pos:R:3 pbc="T T T"
Ho 0.000 0.000 0.000
Ho 5.141 0.000 5.836
Ho 12.297 0.000 2.879
Tm 6.126 0.000 1.436
Tm 11.312 0.000 7.279
Th -1.027 0.000 4.358
Bi 3.084 0.000 0.708
Bi 2.100 0.000 5.103
Bi 9.219 0.000 2.108
Bi 8.219 0.000 6.607
Bi 15.338 0.000 3.613
Bi 14.354 0.000 8.007
```

***

# 6
Starting from DFT lattice parameters and positions (GGA-PBE), the X-ray powder pattern of HoTlBi was simulated for Cu Kα X-rays.
Kinematic intensities with the Lorentz-polarization factor, no thermal factor.

Largest 12 diffraction maxima, low angle first, 2θ from 15° to 90°:
| d_spacing | Position (°2θ) | Rel. int. |
| --- | --- | --- |
| 3.169 | 28.16 | 33 |
| 3.057 | 29.21 | 70 |
| 2.996 | 29.82 | 100 |
| 2.608 | 34.39 | 83 |
| 2.242 | 40.23 | 46 |
| 2.200 | 41.02 | 24 |
| 1.858 | 49.03 | 21 |
| 1.808 | 50.49 | 48 |
| 1.587 | 58.13 | 33 |
| 1.418 | 65.89 | 16 |
| 1.407 | 66.43 | 18 |
| 1.286 | 73.67 | 24 |

Structural model:
```
6
Lattice="9.171 0.000 0.000 0.000 3.172 3.168 0.000 -3.172 3.168" Properties=species:S:1:pos:R:3 pbc="T T T"
Ho 1.581 -1.586 3.168
Ho 7.590 1.586 3.168
Tl 4.585 0.000 1.043
Tl 4.585 0.000 4.211
Bi 1.588 1.586 3.173
Bi 7.583 -1.586 3.173
```

***

# 7
Starting from DFT lattice parameters and positions (GGA-PBE), the X-ray powder pattern of HoTm3Bi2 was simulated for Cu Kα X-rays.
Kinematic intensities with the Lorentz-polarization factor, no thermal factor.

Largest 12 diffraction maxima, low angle first, 2θ from 15° to 90°:
| d_spacing | Position (°2θ) | Rel. int. |
| --- | --- | --- |
| 3.200 | 27.89 | 23 |
| 2.993 | 29.85 | 81 |
| 2.823 | 31.69 | 41 |
| 2.553 | 35.15 | 100 |
| 2.395 | 37.55 | 15 |
| 2.262 | 39.85 | 59 |
| 1.766 | 51.78 | 46 |
| 1.600 | 57.62 | 20 |
| 1.497 | 61.99 | 20 |
| 1.411 | 66.24 | 19 |
| 1.392 | 67.27 | 19 |
| 1.356 | 69.32 | 29 |

Structural model:
```
6
Lattice="4.525 0.000 0.000 0.000 4.525 0.000 0.000 0.000 8.470" Properties=species:S:1:pos:R:3 pbc="T T T"
Ho 0.000 0.000 0.000
Tm 0.000 2.262 2.885
Tm 2.262 0.000 5.586
Tm 2.262 2.262 0.000
Bi 0.000 2.262 6.030
Bi 2.262 0.000 2.440
```

***

# 8
Starting from DFT lattice parameters and positions (GGA-PBE), the X-ray powder pattern of Ho4Tm3Bi8 was simulated for Cu Kα X-rays.
Kinematic intensities with the Lorentz-polarization factor, no thermal factor.

Largest 12 diffraction maxima, low angle first, 2θ from 15° to 90°:
| d_spacing | Position (°2θ) | Rel. int. |
| --- | --- | --- |
| 3.773 | 23.58 | 3 |
| 3.613 | 24.64 | 6 |
| 3.129 | 28.53 | 100 |
| 2.212 | 40.79 | 78 |
| 1.887 | 48.24 | 3 |
| 1.806 | 50.53 | 28 |
| 1.564 | 59.05 | 13 |
| 1.399 | 66.86 | 34 |
| 1.398 | 66.93 | 3 |
| 1.277 | 74.24 | 23 |
| 1.276 | 74.31 | 5 |
| 1.106 | 88.35 | 8 |

Structural model:
```
15
Lattice="6.255 -6.257 0.000 6.255 6.257 0.000 -6.246 0.000 6.259" Properties=species:S:1:pos:R:3 pbc="T T T"
Ho 0.000 0.000 0.000
Ho 3.128 3.129 0.000
Ho 3.128 -3.129 0.000
Ho 3.132 0.000 3.129
Tm 0.005 3.129 3.129
Tm 0.005 -3.129 3.129
Tm 6.255 0.000 0.000
Bi -0.065 0.000 3.140
Bi -3.109 0.000 6.190
Bi 3.132 3.197 3.129
Bi 6.255 3.121 0.000
Bi 6.255 -3.121 0.000
Bi 3.132 -3.197 3.129
Bi 9.373 0.000 0.068
Bi 6.330 0.000 3.119
```

***

# 9
Starting from DFT lattice parameters and positions (GGA-PBE), the X-ray powder pattern of Ho3TmBi2 was simulated for Cu Kα X-rays.
Kinematic intensities with the Lorentz-polarization factor, no thermal factor.

Largest 12 diffraction maxima, low angle first, 2θ from 15° to 90°:
| d_spacing | Position (°2θ) | Rel. int. |
| --- | --- | --- |
| 3.201 | 27.87 | 22 |
| 2.998 | 29.81 | 80 |
| 2.849 | 31.40 | 39 |
| 2.562 | 35.03 | 100 |
| 2.411 | 37.30 | 19 |
| 2.263 | 39.83 | 59 |
| 1.772 | 51.57 | 40 |
| 1.600 | 57.61 | 29 |
| 1.508 | 61.50 | 17 |
| 1.412 | 66.19 | 17 |
| 1.395 | 67.08 | 18 |
| 1.358 | 69.20 | 34 |

Structural model:
```
6
Lattice="4.527 0.000 0.000 0.000 4.527 0.000 0.000 0.000 8.546" Properties=species:S:1:pos:R:3 pbc="T T T"
Ho 0.000 0.000 0.000
Ho 0.000 2.263 5.607
Ho 2.263 0.000 2.939
Tm 2.263 2.263 0.000
Bi 0.000 2.263 2.434
Bi 2.263 0.000 6.112
```

***

# 10
Starting from DFT lattice parameters and positions (GGA-PBE), the X-ray powder pattern of Y2HoTmBi5 was simulated for Cu Kα X-rays.
Kinematic intensities with the Lorentz-polarization factor, no thermal factor.

Largest 12 diffraction maxima, low angle first, 2θ from 15° to 90°:
| d_spacing | Position (°2θ) | Rel. int. |
| --- | --- | --- |
| 5.409 | 16.39 | 28 |
| 3.825 | 23.26 | 53 |
| 3.638 | 24.47 | 67 |
| 3.208 | 27.81 | 28 |
| 2.946 | 30.34 | 61 |
| 2.740 | 32.68 | 37 |
| 2.705 | 33.12 | 100 |
| 2.334 | 38.57 | 27 |
| 1.992 | 45.53 | 81 |
| 1.912 | 47.55 | 37 |
| 1.604 | 57.45 | 41 |
| 1.119 | 87.10 | 27 |

Structural model:
```
9
Lattice="5.409 0.000 0.000 0.000 5.409 0.000 0.000 0.000 11.785" Properties=species:S:1:pos:R:3 pbc="T T T"
Y 0.000 0.000 2.702
Y 0.000 0.000 9.083
Ho 2.705 2.705 0.000
Tm 2.705 2.705 5.893
Bi 0.000 0.000 5.893
Bi 0.000 2.705 0.000
Bi 2.705 0.000 0.000
Bi 2.705 2.705 3.005
Bi 2.705 2.705 8.781
```

***

# 11
Starting from DFT lattice parameters and positions (GGA-PBE), the X-ray powder pattern of YHo2Tm3Bi6 was simulated for Cu Kα X-rays.
Kinematic intensities with the Lorentz-polarization factor, no thermal factor.

Largest 12 diffraction maxima, low angle first, 2θ from 15° to 90°:
| d_spacing | Position (°2θ) | Rel. int. |
| --- | --- | --- |
| 3.634 | 24.50 | 4 |
| 3.147 | 28.36 | 100 |
| 2.225 | 40.54 | 78 |
| 1.898 | 47.94 | 2 |
| 1.817 | 50.21 | 28 |
| 1.574 | 58.67 | 13 |
| 1.444 | 64.53 | 1 |
| 1.407 | 66.43 | 37 |
| 1.285 | 73.73 | 21 |
| 1.284 | 73.80 | 7 |
| 1.113 | 87.68 | 6 |
| 1.112 | 87.77 | 3 |

Structural model:
```
12
Lattice="9.698 -2.225 0.000 9.698 2.225 0.000 -2.029 0.000 8.667" Properties=species:S:1:pos:R:3 pbc="T T T"
Y 0.000 0.000 0.000
Ho 5.112 0.000 5.779
Ho 12.255 0.000 2.888
Tm -1.014 0.000 4.333
Tm 6.132 0.000 1.447
Tm 11.234 0.000 7.220
Bi 2.038 0.000 5.064
Bi 3.085 0.000 0.713
Bi 9.178 0.000 2.188
Bi 8.188 0.000 6.478
Bi 14.281 0.000 7.953
Bi 15.328 0.000 3.602
```

***

# 12
Starting from DFT lattice parameters and positions (GGA-PBE), the X-ray powder pattern of Y12Ho7Bi was simulated for Cu Kα X-rays.
Kinematic intensities with the Lorentz-polarization factor, no thermal factor.

Largest 12 diffraction maxima, low angle first, 2θ from 15° to 90°:
| d_spacing | Position (°2θ) | Rel. int. |
| --- | --- | --- |
| 3.661 | 24.31 | 19 |
| 3.125 | 28.56 | 23 |
| 2.997 | 29.81 | 50 |
| 2.886 | 30.98 | 52 |
| 2.836 | 31.55 | 100 |
| 2.772 | 32.29 | 51 |
| 2.705 | 33.11 | 95 |
| 1.751 | 52.25 | 25 |
| 1.711 | 53.54 | 19 |
| 1.670 | 54.99 | 17 |
| 1.664 | 55.18 | 28 |
| 1.586 | 58.16 | 19 |

Structural model:
```
20
Lattice="6.002 3.465 5.215 -6.002 3.465 5.215 0.000 -6.931 5.215" Properties=species:S:1:pos:R:3 pbc="T T T"
Y -2.152 -4.891 6.486
Y 2.152 4.891 9.158
Y -5.312 -0.582 9.158
Y -3.106 0.923 7.098
Y -2.353 -2.228 8.546
Y -3.160 4.309 6.486
Y 0.754 -3.152 7.098
Y -0.754 3.152 8.546
Y 3.160 -4.309 9.158
Y 2.353 2.228 7.098
Y 3.106 -0.923 8.546
Y 5.312 0.582 6.486
Ho 0.000 0.000 0.000
Ho -1.458 -1.379 4.649
Ho -0.465 1.953 4.649
Ho 1.924 -0.573 4.649
Ho -1.924 0.573 10.995
Ho 0.465 -1.953 10.995
Ho 1.458 1.379 10.995
Bi 0.000 0.000 7.822
```

***

# 13
Starting from DFT lattice parameters and positions (GGA-PBE), the X-ray powder pattern of Y4HoBi5 was simulated for Cu Kα X-rays.
Kinematic intensities with the Lorentz-polarization factor, no thermal factor.

Largest 11 diffraction maxima, low angle first, 2θ from 15° to 90°:
| d_spacing | Position (°2θ) | Rel. int. |
| --- | --- | --- |
| 3.656 | 24.35 | 19 |
| 3.166 | 28.19 | 100 |
| 2.239 | 40.28 | 78 |
| 1.909 | 47.63 | 11 |
| 1.828 | 49.89 | 28 |
| 1.583 | 58.29 | 13 |
| 1.453 | 64.10 | 5 |
| 1.416 | 65.98 | 37 |
| 1.293 | 73.23 | 27 |
| 1.219 | 78.49 | 4 |
| 1.119 | 87.06 | 9 |

Structural model:
```
10
Lattice="-2.239 3.165 11.195 2.239 -3.165 11.195 2.239 3.165 -11.195" Properties=species:S:1:pos:R:3 pbc="T T T"
Y 0.000 0.000 2.239
Y 0.000 0.000 6.723
Y 0.000 0.000 15.667
Y 0.000 0.000 20.152
Ho 0.000 0.000 11.195
Bi 2.239 0.000 0.000
Bi 2.239 0.000 4.480
Bi 2.239 0.000 8.971
Bi 0.000 3.165 2.224
Bi 0.000 3.165 6.715
```